Diffraction record for Na6FeSe4. The X-ray powder pattern is simulated, not measured: it uses a DFT-relaxed cell (PBE, the Materials Project) and Cu Kα (λ = 1.5418 Å).

Principal peaks in the range 10° ≤ 2θ ≤ 90°, sorted by position:
2θ = 10.9°, intensity 47, hkl 1 0 0
2θ = 16.4°, intensity 37, hkl 1 0 1
2θ = 21.9°, intensity 47, hkl 2 0 0
2θ = 24.6°, intensity 36, hkl 0 0 2
2θ = 25.2°, intensity 82, hkl 2 0 1
2θ = 31.7°, intensity 35, hkl 2 1 1
2θ = 33.2°, intensity 71, hkl 2 0 2
2θ = 35.5°, intensity 28, hkl 3 0 1
2θ = 38.5°, intensity 100, hkl 2 2 0
2θ = 38.9°, intensity 17, hkl 1 0 3
2θ = 43.7°, intensity 50, hkl 2 0 3
2θ = 46.2°, intensity 32, hkl 2 2 2

```
data_Na6FeSe4
_symmetry_space_group_name_H-M 'P 63 m c'
_symmetry_Int_Tables_number 186
_symmetry_space_group_name_Hall 'P 6c -2c'
_cell_length_a 9.3579
_cell_length_b 9.3579
_cell_length_c 7.2388
_cell_angle_alpha 90.00
_cell_angle_beta 90.00
_cell_angle_gamma 120.00
loop_
_atom_site_label
_atom_site_type_symbol
_atom_site_fract_x
_atom_site_fract_y
_atom_site_fract_z
Na1 Na 0.0600 0.5300 0.0000
Na2 Na 0.1482 0.2965 0.6716
Fe1 Fe 0.3333 0.6667 0.3829
Se1 Se 0.1880 0.3760 0.2751
Se2 Se 0.3333 0.6667 0.7259
```

---

Diffraction record for MgTi2O4. The X-ray powder pattern is simulated, not measured: it uses a DFT-relaxed cell (PBE, the Materials Project) and Cu Kα (λ = 1.5418 Å).

Principal peaks in the range 10° ≤ 2θ ≤ 90°, sorted by position:
2θ = 17.3°, intensity 22, hkl 1 0 0
2θ = 24.6°, intensity 61, hkl 1 1 0
2θ = 35.0°, intensity 68, hkl 1 0 1
2θ = 39.3°, intensity 39, hkl 1 1 1
2θ = 50.3°, intensity 100, hkl 2 2 0
2θ = 56.8°, intensity 5, hkl 1 3 0
2θ = 62.7°, intensity 29, hkl 3 0 1
2θ = 65.6°, intensity 7, hkl 3 1 1
2θ = 68.4°, intensity 14, hkl 1 1 2
2θ = 73.9°, intensity 14, hkl 4 0 0
2θ = 84.5°, intensity 19, hkl 2 4 0
2θ = 89.6°, intensity 10, hkl 1 3 2

```
data_MgTi2O4
_symmetry_space_group_name_H-M 'P -4'
_symmetry_Int_Tables_number 81
_cell_length_a 5.1275
_cell_length_b 5.1275
_cell_length_c 2.9649
_cell_angle_alpha 90.00
_cell_angle_beta 90.00
_cell_angle_gamma 90.00
loop_
_symmetry_equiv_pos_as_xyz
'x,y,z'
'y,-x,-z'
'-x,-y,z'
'-y,x,-z'
loop_
_atom_site_label
_atom_site_type_symbol
_atom_site_fract_x
_atom_site_fract_y
_atom_site_fract_z
Mg1 Mg 0.0000 0.0000 0.0000
Ti1 Ti 0.0000 0.5000 0.7266
O1 O 0.1944 0.7110 0.2511
```

---

Diffraction record for PuPt2. The X-ray powder pattern is simulated, not measured: it uses a DFT-relaxed cell (PBE, the Materials Project) and Cu Kα (λ = 1.5418 Å).

Principal peaks in the range 10° ≤ 2θ ≤ 90°, sorted by position:
2θ = 20.1°, intensity 1, hkl 1 1 1
2θ = 33.1°, intensity 33, hkl 2 2 0
2θ = 39.0°, intensity 100, hkl 3 1 1
2θ = 40.8°, intensity 34, hkl 2 2 2
2θ = 47.5°, intensity 2, hkl 4 0 0
2θ = 59.1°, intensity 13, hkl 4 2 2
2θ = 63.1°, intensity 33, hkl 5 1 1
2θ = 69.5°, intensity 28, hkl 4 4 0
2θ = 79.1°, intensity 6, hkl 6 2 0
2θ = 82.7°, intensity 12, hkl 5 3 3
2θ = 83.8°, intensity 13, hkl 6 2 2
2θ = 88.5°, intensity 1, hkl 4 4 4

Cell lengths 7.6546, 7.6546, 7.6546 Å; angles 90.00, 90.00, 90.00 degrees
Space group Fd-3m (No. 227, origin choice 2)
Asymmetric unit:
1 Pu 0.1250 0.1250 0.1250 [8 per cell]
2 Pt 0.0000 0.0000 0.5000 [16 per cell]

---

Diffraction record for YMg14Cd. The X-ray powder pattern is simulated, not measured: it uses a DFT-relaxed cell (PBE, the Materials Project) and Cu Kα (λ = 1.5418 Å).

Principal peaks in the range 10° ≤ 2θ ≤ 90°, sorted by position:
2θ = 15.8°, intensity 20, hkl 0 0 2
2θ = 17.1°, intensity 16, hkl 2 0 0
2θ = 18.0°, intensity 30, hkl 1 0 2
2θ = 23.3°, intensity 16, hkl 2 0 2
2θ = 32.0°, intensity 28, hkl 0 2 2
2θ = 34.5°, intensity 38, hkl 4 0 0
2θ = 36.4°, intensity 49, hkl 2 0 4
2θ = 36.5°, intensity 100, hkl 2 2 2
2θ = 47.8°, intensity 18, hkl 4 2 2
2θ = 56.9°, intensity 17, hkl 0 2 6
2θ = 63.1°, intensity 28, hkl 6 2 2
2θ = 68.3°, intensity 19, hkl 4 2 6

```
data_YMg14Cd
_symmetry_space_group_name_H-M 'A m m 2'
_symmetry_Int_Tables_number 38
_cell_length_a 10.3957
_cell_length_b 6.4402
_cell_length_c 11.2236
_cell_angle_alpha 90.00
_cell_angle_beta 90.00
_cell_angle_gamma 90.00
loop_
_symmetry_equiv_pos_as_xyz
'x,y,z'
'-x,-y,z'
'-x,y,z'
'x,-y,z'
'x,y+1/2,z+1/2'
'-x,-y+1/2,z+1/2'
'-x,y+1/2,z+1/2'
'x,-y+1/2,z+1/2'
loop_
_atom_site_label
_atom_site_type_symbol
_atom_site_fract_x
_atom_site_fract_y
_atom_site_fract_z
Y1 Y 0.0000 0.0000 0.0000
Mg1 Mg 0.0000 0.2422 0.2511
Mg2 Mg 0.2459 0.0000 0.6650
Mg3 Mg 0.2534 0.2490 0.4148
Mg4 Mg 0.2548 0.0000 0.1659
Mg5 Mg 0.5000 0.0000 0.4988
Mg6 Mg 0.5000 0.0000 0.9984
Mg7 Mg 0.5000 0.2491 0.7486
Cd1 Cd 0.0000 0.0000 0.4929
```

---

Diffraction record for SrLiP. The X-ray powder pattern is simulated, not measured: it uses a DFT-relaxed cell (PBE, the Materials Project) and Cu Kα (λ = 1.5418 Å).

Principal peaks in the range 10° ≤ 2θ ≤ 90°, sorted by position:
2θ = 22.0°, intensity 10, hkl 0 0 2
2θ = 23.4°, intensity 49, hkl 1 0 0
2θ = 32.4°, intensity 100, hkl 1 0 2
2θ = 41.2°, intensity 37, hkl 1 1 0
2θ = 45.0°, intensity 9, hkl 0 0 4
2θ = 47.2°, intensity 9, hkl 1 1 2
2θ = 51.3°, intensity 12, hkl 1 0 4
2θ = 53.3°, intensity 23, hkl 2 0 2
2θ = 62.6°, intensity 20, hkl 1 1 4
2θ = 69.5°, intensity 21, hkl 2 1 2
2θ = 75.0°, intensity 15, hkl 3 0 0
2θ = 89.3°, intensity 10, hkl 2 2 0

```
data_SrLiP
_symmetry_space_group_name_H-M 'P 63/m m c'
_symmetry_Int_Tables_number 194
_symmetry_space_group_name_Hall '-P 6c 2c'
_cell_length_a 4.3848
_cell_length_b 4.3848
_cell_length_c 8.0627
_cell_angle_alpha 90.00
_cell_angle_beta 90.00
_cell_angle_gamma 120.00
loop_
_atom_site_label
_atom_site_type_symbol
_atom_site_fract_x
_atom_site_fract_y
_atom_site_fract_z
Sr1 Sr 0.0000 0.0000 0.0000
Li1 Li 0.3333 0.6667 0.2500
P1 P 0.3333 0.6667 0.7500
```

---

Diffraction record for TmH3. The X-ray powder pattern is simulated, not measured: it uses a DFT-relaxed cell (PBE, the Materials Project) and Cu Kα (λ = 1.5418 Å).

Principal peaks in the range 10° ≤ 2θ ≤ 90°, sorted by position:
2θ = 27.6°, intensity 33, hkl 0 0 2
2θ = 28.8°, intensity 22, hkl 1 1 0
2θ = 32.0°, intensity 100, hkl 1 1 1
2θ = 40.3°, intensity 18, hkl 1 1 2
2θ = 51.1°, intensity 19, hkl 3 0 0
2θ = 51.6°, intensity 28, hkl 1 1 3
2θ = 59.0°, intensity 24, hkl 3 0 2
2θ = 61.6°, intensity 16, hkl 2 2 1
2θ = 75.6°, intensity 9, hkl 2 2 3
2θ = 80.0°, intensity 10, hkl 3 0 4
2θ = 80.4°, intensity 7, hkl 1 1 5
2θ = 84.1°, intensity 13, hkl 4 1 1

```
data_TmH3
_symmetry_space_group_name_H-M 'P -3 c 1'
_symmetry_Int_Tables_number 165
_symmetry_space_group_name_Hall '-P 3 2"c'
_cell_length_a 6.1916
_cell_length_b 6.1916
_cell_length_c 6.4706
_cell_angle_alpha 90.00
_cell_angle_beta 90.00
_cell_angle_gamma 120.00
loop_
_atom_site_label
_atom_site_type_symbol
_atom_site_fract_x
_atom_site_fract_y
_atom_site_fract_z
Tm1 Tm 0.0000 0.3371 0.2500
H1 H 0.0000 0.0000 0.2500
H2 H 0.0302 0.3510 0.9084
H3 H 0.3333 0.6667 0.1803
```